This entry pairs a crystal structure of BaSrCeCrO6 with its calculated powder diffraction line list. Radiation: copper Kα. Structure: a structure optimized by DFT (PBE+U).
No peak broadening, texture or thermal motion is included.

Peak list (10 most intense, 10 to 90 degrees two-theta, in order of rising 2θ)
| Position (°2θ) | I/Imax | index |
| --- | --- | --- |
| 18.38 | 11 | 1 1 1 |
| 30.23 | 100 | 2 2 0 |
| 35.61 | 9 | 3 1 1 |
| 43.28 | 32 | 4 0 0 |
| 47.39 | 5 | 3 3 1 |
| 53.70 | 39 | 4 2 2 |
| 62.88 | 20 | 4 4 0 |
| 71.34 | 18 | 6 2 0 |
| 79.40 | 6 | 4 4 4 |
| 87.26 | 21 | 6 4 2 |

Cell and atoms:
Lattice parameters (Å, degrees): 8.3612 8.3612 8.3612 90.00 90.00 90.00
Space group F-43m (No. 216)
One atom of each set of equivalent atoms:
1 Ba 0.0000 0.0000 0.0000 [4 per cell]
2 Sr 0.0000 0.0000 0.5000 [4 per cell]
3 Ce 0.2500 0.2500 0.7500 [4 per cell]
4 Cr 0.2500 0.2500 0.2500 [4 per cell]
5 O 0.0157 0.2500 0.2500 [24 per cell]


This entry pairs a crystal structure of BaCeEuWO6 with its calculated powder diffraction line list. Radiation: copper Kα. Structure: a structure optimized by DFT (PBE+U).
No peak broadening, texture or thermal motion is included.

Peak list (10 most intense, 10 to 90 degrees two-theta, in order of rising 2θ)
| Position (°2θ) | I/Imax | index |
| --- | --- | --- |
| 29.31 | 32 | 0 2 0 |
| 29.53 | 67 | 1 1 2 |
| 29.68 | 100 | 1 1 -2 |
| 42.14 | 16 | 2 2 0 |
| 42.32 | 16 | 2 -2 0 |
| 42.46 | 17 | 0 0 4 |
| 52.20 | 18 | -1 3 2 |
| 52.45 | 21 | 3 1 2 |
| 52.57 | 15 | 2 0 4 |
| 52.84 | 15 | -3 1 2 |

Cell and atoms:
Lattice parameters (Å, degrees): 6.0123 6.0943 8.5157 89.95 89.66 89.76
Space group P-1 (No. 2)
One atom of each set of equivalent atoms:
1 Ba 0.0095 0.4686 0.2492 [2 per cell]
2 Ce 0.0000 0.0000 0.0000 [1 per cell]
3 Ce 0.5000 0.5000 0.5000 [1 per cell]
4 Eu 0.4907 0.9593 0.2486 [2 per cell]
5 W 0.0000 0.0000 0.5000 [1 per cell]
6 W 0.5000 0.5000 0.0000 [1 per cell]
7 O 0.0965 0.9937 0.7353 [2 per cell]
8 O 0.2075 0.7341 0.4591 [2 per cell]
9 O 0.2303 0.7175 0.0389 [2 per cell]
10 O 0.2892 0.1990 0.4541 [2 per cell]
11 O 0.3103 0.2143 0.0440 [2 per cell]
12 O 0.4374 0.4650 0.7636 [2 per cell]


This entry pairs a crystal structure of BaCeEuWO6 with its calculated powder diffraction line list. Radiation: copper Kα. Structure: a structure optimized by DFT (PBE+U).
No peak broadening, texture or thermal motion is included.

Peak list (10 most intense, 10 to 90 degrees two-theta, in order of rising 2θ)
| Position (°2θ) | I/Imax | index |
| --- | --- | --- |
| 17.90 | 2 | 1 1 1 |
| 20.70 | 2 | 2 0 0 |
| 29.44 | 100 | 2 2 0 |
| 34.67 | 1 | 3 1 1 |
| 42.12 | 28 | 4 0 0 |
| 52.22 | 41 | 4 2 2 |
| 61.08 | 18 | 4 4 0 |
| 69.24 | 18 | 6 2 0 |
| 76.98 | 6 | 4 4 4 |
| 84.48 | 22 | 6 4 2 |

Cell and atoms:
Lattice parameters (Å, degrees): 8.5821 8.5821 8.5821 90.00 90.00 90.00
Space group F-43m (No. 216)
One atom of each set of equivalent atoms:
1 Ba 0.0000 0.0000 0.0000 [4 per cell]
2 Ce 0.2500 0.2500 0.7500 [4 per cell]
3 Eu 0.0000 0.0000 0.5000 [4 per cell]
4 W 0.2500 0.2500 0.2500 [4 per cell]
5 O 0.0119 0.2500 0.2500 [24 per cell]